Simulated XRD peak list of La2SBr3 for Cu Kα (weighted mean of Kα1 and Kα2), from a DFT-relaxed cell (GGA-PBE, Alexandria).

Principal peaks in the range 15 to 90 degrees two-theta, in order of rising 2θ:
| d_spacing | Rel. int. |
| --- | --- |
| 5.689 | 57.7 |
| 3.907 | 83.1 |
| 3.647 | 54.2 |
| 3.182 | 72.2 |
| 2.714 | 100.0 |
| 2.331 | 55.3 |

Crystal structure
Lattice parameters (Å, degrees): 8.716 8.716 11.794 116.31 116.31 31.02
Fractional positions:
La  0.098  0.098  0.441
La  0.361  0.361  0.191
La  0.639  0.639  0.809
La  0.902  0.902  0.559
S  0.092  0.092  0.673
S  0.908  0.908  0.327
Br  0.160  0.160  0.012
Br  0.271  0.271  0.389
Br  0.445  0.445  0.758
Br  0.555  0.555  0.242
Br  0.729  0.729  0.611
Br  0.840  0.840  0.988